No. 1
K3Cd2Ag: simulated powder diffractogram (copper Kα), based on a crystal structure in Alexandria, relaxed with GGA-PBE.
No peak broadening, texture or thermal motion is included.

Most intense lines, 2θ = 10–80°, by intensity:
d_spacing, Rel. int.
5.134, 100.0
5.302, 57.8
3.027, 55.0
2.390, 28.5
2.490, 24.7
2.676, 23.4
2.934, 20.4
3.370, 14.3
3.236, 13.8
2.426, 12.4

Structural model:
```
data_K3Cd2Ag
_symmetry_space_group_name_H-M 'P 1'
_symmetry_Int_Tables_number 1
_cell_length_a 7.866
_cell_length_b 7.866
_cell_length_c 8.504
_cell_angle_alpha 101.79
_cell_angle_beta 101.79
_cell_angle_gamma 84.75
loop_
_symmetry_equiv_pos_as_xyz
'x,y,z'
loop_
_atom_site_label
_atom_site_type_symbol
_atom_site_fract_x
_atom_site_fract_y
_atom_site_fract_z
K1 K 0.124 0.876 0.750
K2 K 0.255 0.391 0.017
K3 K 0.391 0.255 0.517
K4 K 0.609 0.745 0.483
K5 K 0.745 0.609 0.983
K6 K 0.876 0.124 0.250
Cd1 Cd 0.038 0.570 0.368
Cd2 Cd 0.430 0.962 0.132
Cd3 Cd 0.570 0.038 0.868
Cd4 Cd 0.962 0.430 0.632
Ag1 Ag 0.197 0.803 0.250
Ag2 Ag 0.803 0.197 0.750
```



No. 2
K2Na4CdAg2: simulated powder diffractogram (copper Kα), based on a crystal structure in Alexandria, relaxed with GGA-PBE.
No peak broadening, texture or thermal motion is included.

Most intense lines, 2θ = 10–80°, by intensity:
d_spacing, Rel. int.
5.810, 100.0
2.665, 60.7
2.410, 42.4
2.619, 41.8
2.880, 41.3
4.254, 41.2
4.509, 36.6
3.126, 33.7
3.418, 33.0
1.708, 24.2

Structural model:
```
data_K2Na4CdAg2
_symmetry_space_group_name_H-M 'P 1'
_symmetry_Int_Tables_number 1
_cell_length_a 6.519
_cell_length_b 6.519
_cell_length_c 7.779
_cell_angle_alpha 95.80
_cell_angle_beta 95.80
_cell_angle_gamma 63.24
loop_
_symmetry_equiv_pos_as_xyz
'x,y,z'
loop_
_atom_site_label
_atom_site_type_symbol
_atom_site_fract_x
_atom_site_fract_y
_atom_site_fract_z
K1 K 0.161 0.161 0.397
K2 K 0.839 0.839 0.603
Na1 Na 0.136 0.633 0.129
Na2 Na 0.367 0.864 0.871
Na3 Na 0.633 0.136 0.129
Na4 Na 0.864 0.367 0.871
Cd1 Cd 0.500 0.500 0.500
Ag1 Ag 0.360 0.360 0.785
Ag2 Ag 0.640 0.640 0.215
```



No. 3
K6Cd2AgO: simulated powder diffractogram (copper Kα), based on a crystal structure in Alexandria, relaxed with GGA-PBE.
No peak broadening, texture or thermal motion is included.

Most intense lines, 2θ = 10–80°, by intensity:
d_spacing, Rel. int.
4.212, 100.0
2.978, 86.8
2.106, 56.9
3.439, 54.7
2.432, 41.3
1.884, 27.7
1.592, 23.0
2.733, 22.0
3.592, 19.2
1.719, 17.8

Structural model:
```
data_K6Cd2AgO
_symmetry_space_group_name_H-M 'P 1'
_symmetry_Int_Tables_number 1
_cell_length_a 8.424
_cell_length_b 8.424
_cell_length_c 8.424
_cell_angle_alpha 120.08
_cell_angle_beta 119.94
_cell_angle_gamma 89.99
loop_
_symmetry_equiv_pos_as_xyz
'x,y,z'
loop_
_atom_site_label
_atom_site_type_symbol
_atom_site_fract_x
_atom_site_fract_y
_atom_site_fract_z
K1 K 0.221 0.221 0.000
K2 K 0.221 0.221 0.442
K3 K 0.221 0.779 0.000
K4 K 0.779 0.221 0.000
K5 K 0.779 0.779 0.000
K6 K 0.779 0.779 0.558
Cd1 Cd 0.251 0.751 0.500
Cd2 Cd 0.749 0.249 0.500
Ag1 Ag 0.500 0.500 0.000
O1 O 0.000 0.000 0.000
```



No. 4
KCd2Ag4Sn: simulated powder diffractogram (copper Kα), based on a crystal structure in Alexandria, relaxed with GGA-PBE.
No peak broadening, texture or thermal motion is included.

Most intense lines, 2θ = 10–80°, by intensity:
d_spacing, Rel. int.
2.399, 100.0
2.794, 76.5
2.290, 38.5
5.033, 23.2
1.820, 21.0
1.450, 19.3
1.385, 16.5
2.165, 15.2
1.363, 14.2
1.656, 13.7

Structural model:
```
data_KCd2Ag4Sn
_symmetry_space_group_name_H-M 'P 1'
_symmetry_Int_Tables_number 1
_cell_length_a 10.439
_cell_length_b 10.439
_cell_length_c 10.439
_cell_angle_alpha 26.57
_cell_angle_beta 26.57
_cell_angle_gamma 26.57
loop_
_symmetry_equiv_pos_as_xyz
'x,y,z'
loop_
_atom_site_label
_atom_site_type_symbol
_atom_site_fract_x
_atom_site_fract_y
_atom_site_fract_z
K1 K 0.000 0.000 0.000
Cd1 Cd 0.244 0.244 0.244
Cd2 Cd 0.756 0.756 0.756
Ag1 Ag 0.125 0.125 0.125
Ag2 Ag 0.407 0.407 0.407
Ag3 Ag 0.593 0.593 0.593
Ag4 Ag 0.875 0.875 0.875
Sn1 Sn 0.500 0.500 0.500
```



No. 5
K2TlCd5Ag2: simulated powder diffractogram (copper Kα), based on a crystal structure in Alexandria, relaxed with GGA-PBE.
No peak broadening, texture or thermal motion is included.

Most intense lines, 2θ = 10–80°, by intensity:
d_spacing, Rel. int.
2.712, 100.0
2.525, 35.9
5.352, 32.5
5.984, 27.1
2.863, 26.5
2.903, 24.0
2.676, 20.5
1.944, 15.4
1.552, 13.1
2.347, 12.7

Structural model:
```
data_K2TlCd5Ag2
_symmetry_space_group_name_H-M 'P 1'
_symmetry_Int_Tables_number 1
_cell_length_a 11.968
_cell_length_b 11.968
_cell_length_c 3.889
_cell_angle_alpha 90.00
_cell_angle_beta 90.00
_cell_angle_gamma 90.00
loop_
_symmetry_equiv_pos_as_xyz
'x,y,z'
loop_
_atom_site_label
_atom_site_type_symbol
_atom_site_fract_x
_atom_site_fract_y
_atom_site_fract_z
K1 K 0.178 0.322 0.000
K2 K 0.322 0.822 0.000
K3 K 0.678 0.178 0.000
K4 K 0.822 0.678 0.000
Tl1 Tl 0.000 0.000 0.000
Tl2 Tl 0.500 0.500 0.000
Cd1 Cd 0.000 0.500 0.500
Cd2 Cd 0.060 0.794 0.500
Cd3 Cd 0.206 0.060 0.500
Cd4 Cd 0.294 0.560 0.500
Cd5 Cd 0.440 0.294 0.500
Cd6 Cd 0.500 0.000 0.500
Cd7 Cd 0.560 0.706 0.500
Cd8 Cd 0.706 0.440 0.500
Cd9 Cd 0.794 0.940 0.500
Cd10 Cd 0.940 0.206 0.500
Ag1 Ag 0.124 0.624 0.000
Ag2 Ag 0.376 0.124 0.000
Ag3 Ag 0.624 0.876 0.000
Ag4 Ag 0.876 0.376 0.000
```



No. 6
KZnCd4Ag2: simulated powder diffractogram (copper Kα), based on a crystal structure in Alexandria, relaxed with GGA-PBE.
No peak broadening, texture or thermal motion is included.

Most intense lines, 2θ = 10–80°, by intensity:
d_spacing, Rel. int.
2.368, 100.0
2.331, 71.7
2.824, 53.2
1.661, 24.2
1.360, 24.1
1.367, 19.3
2.309, 18.3
5.194, 17.3
3.426, 16.2
1.815, 13.8

Structural model:
```
data_KZnCd4Ag2
_symmetry_space_group_name_H-M 'P 1'
_symmetry_Int_Tables_number 1
_cell_length_a 10.742
_cell_length_b 10.742
_cell_length_c 10.742
_cell_angle_alpha 25.47
_cell_angle_beta 25.47
_cell_angle_gamma 25.47
loop_
_symmetry_equiv_pos_as_xyz
'x,y,z'
loop_
_atom_site_label
_atom_site_type_symbol
_atom_site_fract_x
_atom_site_fract_y
_atom_site_fract_z
K1 K 0.000 0.000 0.000
Zn1 Zn 0.500 0.500 0.500
Cd1 Cd 0.134 0.134 0.134
Cd2 Cd 0.408 0.408 0.408
Cd3 Cd 0.592 0.592 0.592
Cd4 Cd 0.866 0.866 0.866
Ag1 Ag 0.234 0.234 0.234
Ag2 Ag 0.766 0.766 0.766
```



No. 7
LaCd5Ag7: simulated powder diffractogram (copper Kα), based on a crystal structure in Alexandria, relaxed with GGA-PBE.
No peak broadening, texture or thermal motion is included.

Most intense lines, 2θ = 10–80°, by intensity:
d_spacing, Rel. int.
2.462, 100.0
2.455, 75.1
2.198, 57.3
2.843, 31.8
2.203, 26.6
2.447, 26.1
2.191, 25.5
1.422, 21.8
1.415, 20.6
2.829, 19.6

Structural model:
```
data_LaCd5Ag7
_symmetry_space_group_name_H-M 'P 1'
_symmetry_Int_Tables_number 1
_cell_length_a 7.505
_cell_length_b 7.505
_cell_length_c 7.505
_cell_angle_alpha 135.55
_cell_angle_beta 97.84
_cell_angle_gamma 98.62
loop_
_symmetry_equiv_pos_as_xyz
'x,y,z'
loop_
_atom_site_label
_atom_site_type_symbol
_atom_site_fract_x
_atom_site_fract_y
_atom_site_fract_z
La1 La 0.000 0.000 0.000
Cd1 Cd 0.488 0.493 0.496
Cd2 Cd 0.488 0.992 0.995
Cd3 Cd 0.780 0.280 0.500
Cd4 Cd 0.996 0.493 0.005
Cd5 Cd 0.996 0.992 0.504
Ag1 Ag 0.204 0.704 0.500
Ag2 Ag 0.210 0.492 0.717
Ag3 Ag 0.343 0.992 0.351
Ag4 Ag 0.350 0.350 0.000
Ag5 Ag 0.641 0.992 0.649
Ag6 Ag 0.649 0.649 0.000
Ag7 Ag 0.775 0.492 0.283
```



No. 8
La5Cd2Ag: simulated powder diffractogram (copper Kα), based on a crystal structure in Alexandria, relaxed with GGA-PBE.
No peak broadening, texture or thermal motion is included.

Most intense lines, 2θ = 10–80°, by intensity:
d_spacing, Rel. int.
2.813, 100.0
2.750, 46.9
1.599, 35.8
1.637, 19.4
1.944, 17.0
1.407, 11.5
2.038, 9.8
1.283, 8.5
1.235, 7.5
1.230, 7.4

Structural model:
```
data_La5Cd2Ag
_symmetry_space_group_name_H-M 'P 1'
_symmetry_Int_Tables_number 1
_cell_length_a 7.777
_cell_length_b 7.777
_cell_length_c 8.152
_cell_angle_alpha 90.00
_cell_angle_beta 90.00
_cell_angle_gamma 90.00
loop_
_symmetry_equiv_pos_as_xyz
'x,y,z'
loop_
_atom_site_label
_atom_site_type_symbol
_atom_site_fract_x
_atom_site_fract_y
_atom_site_fract_z
La1 La 0.000 0.000 0.000
La2 La 0.250 0.250 0.250
La3 La 0.250 0.250 0.750
La4 La 0.250 0.750 0.250
La5 La 0.250 0.750 0.750
La6 La 0.500 0.500 0.500
La7 La 0.750 0.250 0.250
La8 La 0.750 0.250 0.750
La9 La 0.750 0.750 0.250
La10 La 0.750 0.750 0.750
Cd1 Cd 0.000 0.500 0.000
Cd2 Cd 0.000 0.500 0.500
Cd3 Cd 0.500 0.000 0.000
Cd4 Cd 0.500 0.000 0.500
Ag1 Ag 0.000 0.000 0.501
Ag2 Ag 0.500 0.500 0.001
```



No. 9
LaCd11Ag: simulated powder diffractogram (copper Kα), based on a crystal structure in Alexandria, relaxed with GGA-PBE.
No peak broadening, texture or thermal motion is included.

Most intense lines, 2θ = 10–80°, by intensity:
d_spacing, Rel. int.
2.516, 100.0
2.546, 77.8
2.506, 62.0
2.271, 50.2
2.909, 45.2
2.242, 36.1
2.249, 26.7
1.449, 22.0
2.267, 18.5
2.956, 17.2

Structural model:
```
data_LaCd11Ag
_symmetry_space_group_name_H-M 'P 1'
_symmetry_Int_Tables_number 1
_cell_length_a 7.680
_cell_length_b 7.680
_cell_length_c 7.674
_cell_angle_alpha 98.47
_cell_angle_beta 98.47
_cell_angle_gamma 134.72
loop_
_symmetry_equiv_pos_as_xyz
'x,y,z'
loop_
_atom_site_label
_atom_site_type_symbol
_atom_site_fract_x
_atom_site_fract_y
_atom_site_fract_z
La1 La 0.000 0.000 0.000
Cd1 Cd 0.000 0.000 0.500
Cd2 Cd 0.000 0.500 0.000
Cd3 Cd 0.009 0.358 0.355
Cd4 Cd 0.291 0.504 0.783
Cd5 Cd 0.358 0.009 0.355
Cd6 Cd 0.496 0.709 0.217
Cd7 Cd 0.500 0.000 0.000
Cd8 Cd 0.504 0.291 0.783
Cd9 Cd 0.642 0.991 0.645
Cd10 Cd 0.709 0.496 0.217
Cd11 Cd 0.991 0.642 0.645
Ag1 Ag 0.500 0.500 0.500
```



No. 10
LaCd6Ag4: simulated powder diffractogram (copper Kα), based on a crystal structure in Alexandria, relaxed with GGA-PBE.
No peak broadening, texture or thermal motion is included.

Most intense lines, 2θ = 10–80°, by intensity:
d_spacing, Rel. int.
2.744, 100.0
2.262, 56.6
2.616, 41.2
2.253, 35.2
2.989, 29.0
1.998, 25.5
1.707, 22.0
2.053, 21.9
1.495, 19.3
1.323, 16.2

Structural model:
```
data_LaCd6Ag4
_symmetry_space_group_name_H-M 'P 1'
_symmetry_Int_Tables_number 1
_cell_length_a 7.991
_cell_length_b 7.991
_cell_length_c 4.506
_cell_angle_alpha 90.00
_cell_angle_beta 90.00
_cell_angle_gamma 120.00
loop_
_symmetry_equiv_pos_as_xyz
'x,y,z'
loop_
_atom_site_label
_atom_site_type_symbol
_atom_site_fract_x
_atom_site_fract_y
_atom_site_fract_z
La1 La 0.000 0.000 0.000
Cd1 Cd 0.201 0.402 0.500
Cd2 Cd 0.201 0.799 0.500
Cd3 Cd 0.536 0.072 0.000
Cd4 Cd 0.536 0.464 0.000
Cd5 Cd 0.598 0.799 0.500
Cd6 Cd 0.928 0.464 0.000
Ag1 Ag 0.333 0.667 0.000
Ag2 Ag 0.405 0.202 0.500
Ag3 Ag 0.798 0.202 0.500
Ag4 Ag 0.798 0.595 0.500
```



No. 11
La2Cd2Ag3: simulated powder diffractogram (copper Kα), based on a crystal structure in Alexandria, relaxed with GGA-PBE.
No peak broadening, texture or thermal motion is included.

Most intense lines, 2θ = 10–80°, by intensity:
d_spacing, Rel. int.
2.776, 100.0
2.946, 86.5
2.416, 57.9
2.151, 35.7
1.607, 31.7
1.440, 22.9
2.191, 19.4
2.724, 18.9
2.529, 18.5
3.121, 14.3

Structural model:
```
data_La2Cd2Ag3
_symmetry_space_group_name_H-M 'P 1'
_symmetry_Int_Tables_number 1
_cell_length_a 10.342
_cell_length_b 10.342
_cell_length_c 8.251
_cell_angle_alpha 90.00
_cell_angle_beta 90.00
_cell_angle_gamma 155.99
loop_
_symmetry_equiv_pos_as_xyz
'x,y,z'
loop_
_atom_site_label
_atom_site_type_symbol
_atom_site_fract_x
_atom_site_fract_y
_atom_site_fract_z
La1 La 0.062 0.938 0.750
La2 La 0.150 0.850 0.250
La3 La 0.850 0.150 0.750
La4 La 0.938 0.062 0.250
Cd1 Cd 0.311 0.689 0.055
Cd2 Cd 0.311 0.689 0.445
Cd3 Cd 0.689 0.311 0.555
Cd4 Cd 0.689 0.311 0.945
Ag1 Ag 0.232 0.768 0.750
Ag2 Ag 0.442 0.558 0.577
Ag3 Ag 0.442 0.558 0.923
Ag4 Ag 0.558 0.442 0.077
Ag5 Ag 0.558 0.442 0.423
Ag6 Ag 0.768 0.232 0.250
```



No. 12
LaCd2Ag9: simulated powder diffractogram (copper Kα), based on a crystal structure in Alexandria, relaxed with GGA-PBE.
No peak broadening, texture or thermal motion is included.

Most intense lines, 2θ = 10–80°, by intensity:
d_spacing, Rel. int.
2.613, 100.0
2.193, 95.8
2.563, 75.1
2.120, 41.8
2.456, 35.9
2.929, 35.5
2.258, 34.6
1.489, 33.3
2.282, 19.4
1.281, 16.7

Structural model:
```
data_LaCd2Ag9
_symmetry_space_group_name_H-M 'P 1'
_symmetry_Int_Tables_number 1
_cell_length_a 8.939
_cell_length_b 8.939
_cell_length_c 8.939
_cell_angle_alpha 100.26
_cell_angle_beta 100.26
_cell_angle_gamma 130.08
loop_
_symmetry_equiv_pos_as_xyz
'x,y,z'
loop_
_atom_site_label
_atom_site_type_symbol
_atom_site_fract_x
_atom_site_fract_y
_atom_site_fract_z
La1 La 0.375 0.625 0.750
La2 La 0.625 0.375 0.250
Cd1 Cd 0.000 0.000 0.000
Cd2 Cd 0.000 0.000 0.500
Cd3 Cd 0.000 0.500 0.000
Cd4 Cd 0.500 0.000 0.500
Ag1 Ag 0.125 0.875 0.250
Ag2 Ag 0.132 0.554 0.336
Ag3 Ag 0.132 0.796 0.578
Ag4 Ag 0.204 0.282 0.336
Ag5 Ag 0.204 0.868 0.922
Ag6 Ag 0.282 0.204 0.836
Ag7 Ag 0.282 0.446 0.078
Ag8 Ag 0.446 0.282 0.578
Ag9 Ag 0.446 0.868 0.164
Ag10 Ag 0.554 0.132 0.836
Ag11 Ag 0.554 0.718 0.422
Ag12 Ag 0.718 0.554 0.922
Ag13 Ag 0.718 0.796 0.164
Ag14 Ag 0.796 0.132 0.078
Ag15 Ag 0.796 0.718 0.664
Ag16 Ag 0.868 0.204 0.422
Ag17 Ag 0.868 0.446 0.664
Ag18 Ag 0.875 0.125 0.750
```



Please write out number 5 again, unchanged.
K2TlCd5Ag2: simulated powder diffractogram (copper Kα), based on a crystal structure in Alexandria, relaxed with GGA-PBE.
No peak broadening, texture or thermal motion is included.

Most intense lines, 2θ = 10–80°, by intensity:
d_spacing, Rel. int.
2.712, 100.0
2.525, 35.9
5.352, 32.5
5.984, 27.1
2.863, 26.5
2.903, 24.0
2.676, 20.5
1.944, 15.4
1.552, 13.1
2.347, 12.7

Structural model:
```
data_K2TlCd5Ag2
_symmetry_space_group_name_H-M 'P 1'
_symmetry_Int_Tables_number 1
_cell_length_a 11.968
_cell_length_b 11.968
_cell_length_c 3.889
_cell_angle_alpha 90.00
_cell_angle_beta 90.00
_cell_angle_gamma 90.00
loop_
_symmetry_equiv_pos_as_xyz
'x,y,z'
loop_
_atom_site_label
_atom_site_type_symbol
_atom_site_fract_x
_atom_site_fract_y
_atom_site_fract_z
K1 K 0.178 0.322 0.000
K2 K 0.322 0.822 0.000
K3 K 0.678 0.178 0.000
K4 K 0.822 0.678 0.000
Tl1 Tl 0.000 0.000 0.000
Tl2 Tl 0.500 0.500 0.000
Cd1 Cd 0.000 0.500 0.500
Cd2 Cd 0.060 0.794 0.500
Cd3 Cd 0.206 0.060 0.500
Cd4 Cd 0.294 0.560 0.500
Cd5 Cd 0.440 0.294 0.500
Cd6 Cd 0.500 0.000 0.500
Cd7 Cd 0.560 0.706 0.500
Cd8 Cd 0.706 0.440 0.500
Cd9 Cd 0.794 0.940 0.500
Cd10 Cd 0.940 0.206 0.500
Ag1 Ag 0.124 0.624 0.000
Ag2 Ag 0.376 0.124 0.000
Ag3 Ag 0.624 0.876 0.000
Ag4 Ag 0.876 0.376 0.000
```